Structure and theoretical X-ray diffraction stick pattern of MgMn6Nb4O18 (DFT lattice parameters and positions (PBE+U); Cu Kα).

Lattice parameters (Å, degrees): 5.302 5.302 14.356 90.00 90.00 120.00
Atoms (fractional coordinates):
Mg: 0.000 0.000 0.000
Mn: 0.000 0.000 0.314
Mn: 0.000 0.000 0.792
Mn: 0.333 0.667 0.101
Mn: 0.333 0.667 0.313
Mn: 0.333 0.667 0.524
Mn: 0.333 0.667 0.819
Nb: 0.667 0.333 0.166
Nb: 0.667 0.333 0.458
Nb: 0.667 0.333 0.675
Nb: 0.667 0.333 0.949
O: 0.003 0.348 0.402
O: 0.005 0.376 0.742
O: 0.009 0.677 0.897
O: 0.323 0.331 0.897
O: 0.344 0.997 0.402
O: 0.348 0.347 0.223
O: 0.370 0.995 0.742
O: 0.376 0.060 0.054
O: 0.416 0.375 0.568
O: 0.624 0.630 0.742
O: 0.625 0.041 0.568
O: 0.652 0.656 0.402
O: 0.653 0.001 0.223
O: 0.669 0.991 0.897
O: 0.684 0.624 0.054
O: 0.940 0.316 0.054
O: 0.959 0.584 0.568
O: 0.999 0.652 0.223

Peak list (10 most intense, 10° ≤ 2θ ≤ 80°, in order of rising 2θ)
- (1 0 0), d = 4.592 Å, I = 46
- (1 0 2), d = 3.868 Å, I = 28
- (0 1 4), d = 2.828 Å, I = 100
- (1 1 0), d = 2.651 Å, I = 68
- (1 1 3), d = 2.319 Å, I = 15
- (2 0 4), d = 1.934 Å, I = 39
- (1 1 6), d = 1.776 Å, I = 32
- (3 -2 4), d = 1.562 Å, I = 36
- (3 0 0), d = 1.531 Å, I = 30
- (3 1 4), d = 1.200 Å, I = 12